Entry 1:
# AcPa2BiO7
Theoretical powder X-ray diffraction pattern, λ = 1.5418 Å (Cu Kα). Input: DFT lattice parameters and positions (PBE).
No peak broadening, texture or thermal motion is included.

Peak list (12 most intense, 2θ = 10–80°, by intensity)
| hkl | d_spacing | I/Imax |
| --- | --- | --- |
| 1 0 2 | 3.438 | 100 |
| 1 1 0 | 3.033 | 45 |
| 2 1 2 | 1.820 | 35 |
| 2 0 0 | 2.145 | 23 |
| 1 1 4 | 2.086 | 16 |
| 1 0 3 | 2.857 | 11 |
| 3 1 0 | 1.356 | 10 |
| 1 0 5 | 2.026 | 9 |
| 2 2 0 | 1.517 | 8 |
| 0 0 3 | 3.831 | 7 |
| 3 0 2 | 1.388 | 7 |
| 1 1 5 | 1.832 | 7 |

Cell and atoms:
```
data_AcPa2BiO7
_cell_length_a 4.290
_cell_length_b 4.290
_cell_length_c 11.493
_cell_angle_alpha 90.00
_cell_angle_beta 90.00
_cell_angle_gamma 90.00
_space_group_name_H-M_alt 'P 4/m m m'
_space_group_IT_number 123
_space_group_name_Hall '-P 4 2'
loop_
_atom_site_label
_atom_site_type_symbol
_atom_site_fract_x
_atom_site_fract_y
_atom_site_fract_z
_atom_site_occupancy
Ac1 Ac 0.000 0.000 0.000 1
Pa1 Pa 0.500 0.500 0.201 1
Bi1 Bi 0.000 0.000 0.500 1
O1 O 0.000 0.500 0.150 1
O2 O 0.500 0.500 0.000 1
O3 O 0.500 0.500 0.372 1
```

***

Entry 2:
# AcPa2BiO8
Theoretical powder X-ray diffraction pattern, λ = 1.5418 Å (Cu Kα). Input: DFT lattice parameters and positions (PBE).
No peak broadening, texture or thermal motion is included.

Peak list (12 most intense, 2θ = 10–80°, by intensity)
| hkl | d_spacing | I/Imax |
| --- | --- | --- |
| 1 1 0 | 3.216 | 100 |
| 1 2 2 | 1.981 | 34 |
| 1 0 2 | 2.752 | 24 |
| 1 3 0 | 1.709 | 17 |
| 2 1 2 | 1.667 | 16 |
| 1 1 4 | 1.663 | 15 |
| 0 2 0 | 2.854 | 13 |
| 3 1 0 | 1.267 | 9 |
| 2 0 0 | 1.951 | 8 |
| 0 0 4 | 1.941 | 8 |
| 2 3 2 | 1.285 | 7 |
| 1 3 4 | 1.283 | 7 |

Cell and atoms:
```
data_AcPa2BiO8
_cell_length_a 3.901
_cell_length_b 5.708
_cell_length_c 7.765
_cell_angle_alpha 90.00
_cell_angle_beta 90.00
_cell_angle_gamma 90.00
_space_group_name_H-M_alt 'P m m m'
_space_group_IT_number 47
loop_
_space_group_symop_operation_xyz
'x,y,z'
'-x,-y,-z'
'-x,-y,z'
'x,y,-z'
'x,-y,-z'
'-x,y,z'
'-x,y,-z'
'x,-y,z'
loop_
_atom_site_label
_atom_site_type_symbol
_atom_site_fract_x
_atom_site_fract_y
_atom_site_fract_z
_atom_site_occupancy
Ac1 Ac 0.000 0.000 0.000 1
Pa1 Pa 0.500 0.500 0.253 1
Bi1 Bi 0.000 0.000 0.500 1
O1 O 0.000 0.276 0.256 1
O2 O 0.500 0.270 0.500 1
O3 O 0.500 0.280 0.000 1
```

***

Entry 3:
# AcPaBiO6
Theoretical powder X-ray diffraction pattern, λ = 1.5418 Å (Cu Kα). Input: DFT lattice parameters and positions (PBE).
No peak broadening, texture or thermal motion is included.

Peak list (12 most intense, 2θ = 10–80°, by intensity)
| hkl | d_spacing | I/Imax |
| --- | --- | --- |
| 1 0 2 | 3.683 | 100 |
| 1 1 0 | 2.947 | 54 |
| 1 1 4 | 1.974 | 47 |
| 2 1 2 | 1.814 | 29 |
| 2 0 2 | 2.301 | 29 |
| 3 0 0 | 1.702 | 16 |
| 3 0 4 | 1.433 | 12 |
| 4 -1 2 | 1.368 | 12 |
| 4 -2 4 | 1.289 | 12 |
| 0 0 4 | 2.659 | 12 |
| 1 0 6 | 1.675 | 11 |
| 0 0 2 | 5.318 | 11 |

Cell and atoms:
```
data_AcPaBiO6
_cell_length_a 5.8943
_cell_length_b 5.8943
_cell_length_c 10.6361
_cell_angle_alpha 90.00
_cell_angle_beta 90.00
_cell_angle_gamma 120.00
_space_group_name_H-M_alt 'P -3 1 c'
_space_group_IT_number 163
_space_group_name_Hall '-P 3 2c'
loop_
_atom_site_label
_atom_site_type_symbol
_atom_site_fract_x
_atom_site_fract_y
_atom_site_fract_z
_atom_site_occupancy
Ac1 Ac 0.0000 0.0000 0.0000 1
Pa1 Pa 0.3333 0.6667 0.2500 1
Bi1 Bi 0.3333 0.6667 0.7500 1
O1 O 0.0097 0.3592 0.1390 1
```

***

Entry 4:
# Ac2Bi2PbO2
Theoretical powder X-ray diffraction pattern, λ = 1.5418 Å (Cu Kα). Input: DFT lattice parameters and positions (PBE).
No peak broadening, texture or thermal motion is included.

Peak list (12 most intense, 2θ = 10–80°, by intensity)
| hkl | d_spacing | I/Imax |
| --- | --- | --- |
| 1 0 2 | 3.178 | 100 |
| 0 1 3 | 2.906 | 54 |
| 0 1 1 | 3.384 | 51 |
| 0 0 5 | 3.207 | 50 |
| 1 1 5 | 1.696 | 49 |
| 1 1 0 | 1.999 | 46 |
| 1 0 7 | 1.910 | 29 |
| 1 0 0 | 3.462 | 25 |
| 0 1 5 | 2.353 | 23 |
| 1 0 4 | 2.620 | 22 |
| 0 2 2 | 1.692 | 17 |
| 0 1 6 | 2.115 | 16 |

Cell and atoms:
```
data_Ac2Bi2PbO2
_cell_length_a 3.9974
_cell_length_b 3.9974
_cell_length_c 16.0350
_cell_angle_alpha 90.00
_cell_angle_beta 90.00
_cell_angle_gamma 120.00
_space_group_name_H-M_alt 'P -3 m 1'
_space_group_IT_number 164
_space_group_name_Hall '-P 3 2"'
loop_
_atom_site_label
_atom_site_type_symbol
_atom_site_fract_x
_atom_site_fract_y
_atom_site_fract_z
_atom_site_occupancy
Ac1 Ac 0.3333 0.6667 0.3138 1
Bi1 Bi 0.0000 0.0000 0.0916 1
Pb1 Pb 0.0000 0.0000 0.5000 1
O1 O 0.3333 0.6667 0.7149 1
```

***

Entry 5:
# Ac2PmBi2O2
Theoretical powder X-ray diffraction pattern, λ = 1.5418 Å (Cu Kα). Input: DFT lattice parameters and positions (PBE).
No peak broadening, texture or thermal motion is included.

Peak list (12 most intense, 2θ = 10–80°, by intensity)
| hkl | d_spacing | I/Imax |
| --- | --- | --- |
| 1 0 5 | 2.790 | 100 |
| 1 1 0 | 3.275 | 79 |
| 2 1 5 | 1.782 | 55 |
| 2 0 0 | 2.316 | 36 |
| 3 2 5 | 1.206 | 16 |
| 3 1 0 | 1.464 | 16 |
| 3 0 5 | 1.412 | 13 |
| 2 2 0 | 1.637 | 13 |
| 1 1 10 | 1.542 | 11 |
| 2 0 10 | 1.395 | 9 |
| 1 1 4 | 2.620 | 8 |
| 1 0 9 | 1.791 | 6 |

Cell and atoms:
```
data_Ac2PmBi2O2
_cell_length_a 4.631
_cell_length_b 4.631
_cell_length_c 17.474
_cell_angle_alpha 90.00
_cell_angle_beta 90.00
_cell_angle_gamma 90.00
_space_group_name_H-M_alt 'I 4/m m m'
_space_group_IT_number 139
_space_group_name_Hall '-I 4 2'
loop_
_atom_site_label
_atom_site_type_symbol
_atom_site_fract_x
_atom_site_fract_y
_atom_site_fract_z
_atom_site_occupancy
Ac1 Ac 0.000 0.000 0.113 1
Pm1 Pm 0.000 0.000 0.500 1
Bi1 Bi 0.000 0.000 0.311 1
O1 O 0.000 0.500 0.000 1
```

***

Entry 6:
# Ac2PuBiO8
Theoretical powder X-ray diffraction pattern, λ = 1.5418 Å (Cu Kα). Input: DFT lattice parameters and positions (PBE).
No peak broadening, texture or thermal motion is included.

Peak list (12 most intense, 2θ = 10–80°, by intensity)
| hkl | d_spacing | I/Imax |
| --- | --- | --- |
| 0 1 2 | 3.205 | 100 |
| 1 1 0 | 3.658 | 70 |
| 1 0 2 | 2.872 | 56 |
| 1 -1 0 | 3.237 | 51 |
| 1 2 2 | 2.118 | 42 |
| 1 1 4 | 1.710 | 34 |
| 1 -2 2 | 1.945 | 30 |
| 0 2 0 | 2.858 | 27 |
| 2 1 2 | 1.842 | 21 |
| 2 0 0 | 2.142 | 20 |
| 1 3 0 | 1.829 | 19 |
| 2 -1 2 | 1.725 | 17 |

Cell and atoms:
```
data_Ac2PuBiO8
_cell_length_a 4.319
_cell_length_b 5.762
_cell_length_c 7.742
_cell_angle_alpha 89.93
_cell_angle_beta 89.99
_cell_angle_gamma 82.72
_space_group_name_H-M_alt 'P -1'
_space_group_IT_number 2
loop_
_space_group_symop_operation_xyz
'x,y,z'
'-x,-y,-z'
loop_
_atom_site_label
_atom_site_type_symbol
_atom_site_fract_x
_atom_site_fract_y
_atom_site_fract_z
_atom_site_occupancy
Ac1 Ac 0.000 0.000 0.249 1
Pu1 Pu 0.500 0.500 0.500 1
Bi1 Bi 0.500 0.500 0.000 1
O1 O 0.036 0.748 0.000 1
O2 O 0.100 0.698 0.500 1
O3 O 0.441 0.276 0.288 1
O4 O 0.441 0.276 0.711 1
```

***

Entry 7:
# Rb2AcBiO6
Theoretical powder X-ray diffraction pattern, λ = 1.5418 Å (Cu Kα). Input: DFT lattice parameters and positions (PBE).
No peak broadening, texture or thermal motion is included.

Peak list (12 most intense, 2θ = 10–80°, by intensity)
| hkl | d_spacing | I/Imax |
| --- | --- | --- |
| 1 1 0 | 3.241 | 100 |
| 3 -1 4 | 1.871 | 43 |
| 0 1 2 | 4.583 | 30 |
| 0 2 4 | 2.292 | 29 |
| 3 2 4 | 1.225 | 23 |
| 1 3 4 | 1.449 | 20 |
| 2 2 0 | 1.621 | 19 |
| 3 -2 2 | 2.050 | 15 |
| 0 3 6 | 1.528 | 7 |
| 4 0 4 | 1.323 | 6 |
| 2 3 2 | 1.271 | 3 |
| 2 0 2 | 2.646 | 3 |

Cell and atoms:
```
data_Rb2AcBiO6
_cell_length_a 6.4819
_cell_length_b 6.4819
_cell_length_c 15.8782
_cell_angle_alpha 90.00
_cell_angle_beta 90.00
_cell_angle_gamma 120.00
_space_group_name_H-M_alt 'R -3'
_space_group_IT_number 148
_space_group_name_Hall '-R 3'
loop_
_atom_site_label
_atom_site_type_symbol
_atom_site_fract_x
_atom_site_fract_y
_atom_site_fract_z
_atom_site_occupancy
Rb1 Rb 0.0000 0.0000 0.2500 1
Ac1 Ac 0.0000 0.0000 0.0000 1
Bi1 Bi 0.0000 0.0000 0.5000 1
O1 O 0.0226 0.5092 0.2444 1
```

***

Entry 8:
# Ac2BiS2O2
Theoretical powder X-ray diffraction pattern, λ = 1.5418 Å (Cu Kα). Input: DFT lattice parameters and positions (PBE).
No peak broadening, texture or thermal motion is included.

Peak list (12 most intense, 2θ = 10–80°, by intensity)
| hkl | d_spacing | I/Imax |
| --- | --- | --- |
| 1 0 1 | 3.490 | 100 |
| 0 1 2 | 3.133 | 51 |
| 1 0 4 | 2.350 | 36 |
| 1 1 0 | 2.101 | 32 |
| 0 0 3 | 4.105 | 27 |
| 1 1 3 | 1.870 | 21 |
| 0 2 1 | 1.800 | 16 |
| 1 1 5 | 1.598 | 15 |
| 2 1 1 | 1.367 | 13 |
| 0 1 5 | 2.040 | 13 |
| 1 0 6 | 1.788 | 12 |
| 0 1 3 | 2.723 | 11 |

Cell and atoms:
```
data_Ac2BiS2O2
_cell_length_a 4.2017
_cell_length_b 4.2017
_cell_length_c 12.3145
_cell_angle_alpha 90.00
_cell_angle_beta 90.00
_cell_angle_gamma 120.00
_space_group_name_H-M_alt 'P -3 m 1'
_space_group_IT_number 164
_space_group_name_Hall '-P 3 2"'
loop_
_atom_site_label
_atom_site_type_symbol
_atom_site_fract_x
_atom_site_fract_y
_atom_site_fract_z
_atom_site_occupancy
Ac1 Ac 0.3333 0.6667 0.1299 1
Bi1 Bi 0.0000 0.0000 0.5000 1
S1 S 0.0000 0.0000 0.2869 1
O1 O 0.3333 0.6667 0.9259 1
```